The following is a calculated PXRD pattern of La8Nd6Ho. It was derived from a structure optimized by DFT (PBE), using λ = 1.5418 Å (Cu Kα).
Neutral-atom scattering factors, no anomalous dispersion.

Structure:
Unit cell a=9.6145 b=9.6145 c=6.7723 alpha=90.00 beta=90.00 gamma=120.00
Fractional positions:
La 0.0343 0.2875 0.1651
La 0.2532 0.9657 0.1651
La 0.2875 0.2532 0.8349
La 0.3333 0.6667 0.1142
La 0.6667 0.3333 0.8858
La 0.7125 0.7468 0.1651
La 0.7468 0.0343 0.8349
La 0.9657 0.7125 0.8349
Nd 0.0885 0.4296 0.6525
Nd 0.3411 0.9115 0.6525
Nd 0.4296 0.3411 0.3475
Nd 0.5704 0.6589 0.6525
Nd 0.6589 0.0885 0.3475
Nd 0.9115 0.5704 0.3475
Ho 0.0000 0.0000 0.5000

The 8 most intense peaks (10° ≤ 2θ ≤ 90°), in order of rising 2θ:
two_theta, d [Å], I_rel
25.11, 3.547, 29.5
28.40, 3.143, 56.5
31.34, 2.854, 100.0
32.31, 2.770, 97.5
47.66, 1.908, 14.4
49.58, 1.838, 22.7
51.54, 1.773, 12.7
60.39, 1.533, 12.6

***

The following is a calculated PXRD pattern of Cd3Ag2Pd7. It was derived from a structure optimized by DFT (PBE), using λ = 1.5418 Å (Cu Kα).
Neutral-atom scattering factors, no anomalous dispersion.

Structure:
Unit cell a=10.8471 b=10.8471 c=4.5687 alpha=90.00 beta=90.00 gamma=155.56
Fractional positions:
Cd 0.0000 0.0000 0.0000
Cd 0.1541 0.8459 0.0000
Cd 0.8459 0.1541 0.0000
Ag 0.3516 0.6484 0.5000
Ag 0.6484 0.3516 0.5000
Pd 0.0755 0.9245 0.5000
Pd 0.2202 0.7798 0.5000
Pd 0.4268 0.5732 0.0000
Pd 0.5000 0.5000 0.5000
Pd 0.5732 0.4268 0.0000
Pd 0.7798 0.2202 0.5000
Pd 0.9245 0.0755 0.5000

The 8 most intense peaks (10° ≤ 2θ ≤ 90°), in order of rising 2θ:
two_theta, d [Å], I_rel
34.86, 2.574, 12.8
39.24, 2.296, 30.2
39.45, 2.284, 29.5
40.79, 2.212, 100.0
56.86, 1.619, 19.6
72.18, 1.309, 17.6
72.45, 1.305, 17.4
88.37, 1.106, 8.6

***

The following is a calculated PXRD pattern of Na4Ge5O12. It was derived from a structure optimized by DFT (PBE), using λ = 1.5418 Å (Cu Kα).
Neutral-atom scattering factors, no anomalous dispersion.

Structure:
Unit cell a=5.2674 b=5.2674 c=9.3965 alpha=90.00 beta=90.00 gamma=120.00
Fractional positions:
Na 0.0000 0.0000 0.1900
Na 0.0000 0.0000 0.8100
Na 0.3333 0.6667 0.6005
Na 0.6667 0.3333 0.3995
Ge 0.0000 0.0000 0.5000
Ge 0.3333 0.6667 0.2908
Ge 0.3333 0.6667 0.9798
Ge 0.6667 0.3333 0.0202
Ge 0.6667 0.3333 0.7092
O 0.0243 0.6008 0.1196
O 0.0818 0.3273 0.3786
O 0.2455 0.9182 0.3786
O 0.3273 0.2455 0.6214
O 0.3992 0.4234 0.1196
O 0.4234 0.0243 0.8804
O 0.5766 0.9757 0.1196
O 0.6008 0.5766 0.8804
O 0.6727 0.7545 0.3786
O 0.7545 0.0818 0.6214
O 0.9182 0.6727 0.6214
O 0.9757 0.3992 0.8804

The 8 most intense peaks (10° ≤ 2θ ≤ 90°), in order of rising 2θ:
two_theta, d [Å], I_rel
21.66, 4.104, 100.0
34.04, 2.634, 91.9
34.74, 2.582, 86.0
49.43, 1.844, 57.8
52.18, 1.753, 35.2
60.93, 1.521, 29.3
61.38, 1.510, 39.3
71.67, 1.317, 15.3

***

The following is a calculated PXRD pattern of Ni5B2Pd. It was derived from a structure optimized by DFT (PBE), using λ = 1.5418 Å (Cu Kα).
Neutral-atom scattering factors, no anomalous dispersion.

Structure:
Unit cell a=2.9996 b=5.1373 c=10.8583 alpha=90.00 beta=90.00 gamma=90.00
Fractional positions:
Ni 0.0000 0.0000 0.0000
Ni 0.0000 0.2512 0.3423
Ni 0.0000 0.2512 0.6577
Ni 0.0000 0.7488 0.3423
Ni 0.0000 0.7488 0.6577
Ni 0.5000 0.2488 0.1577
Ni 0.5000 0.2488 0.8423
Ni 0.5000 0.5000 0.5000
Ni 0.5000 0.7512 0.1577
Ni 0.5000 0.7512 0.8423
B 0.0000 0.0000 0.1941
B 0.0000 0.0000 0.8059
B 0.5000 0.5000 0.3059
B 0.5000 0.5000 0.6941
Pd 0.0000 0.5000 0.0000
Pd 0.5000 0.0000 0.5000

The 8 most intense peaks (10° ≤ 2θ ≤ 90°), in order of rising 2θ:
two_theta, d [Å], I_rel
38.78, 2.322, 41.3
39.00, 2.310, 100.0
47.34, 1.920, 66.5
48.81, 1.866, 36.5
50.43, 1.810, 24.1
64.17, 1.451, 15.4
78.83, 1.214, 18.0
86.76, 1.122, 18.0